The following is a computed powder diffractogram of GaCuW2O8. It was derived from a crystal structure in Alexandria, relaxed with GGA+U, using Cu Kα.
Kinematic intensities with the Lorentz-polarization factor, no thermal factor.

Cell lengths 7.413, 7.413, 5.032 Å; angles 90.82, 90.82, 101.93 degrees
Sites, in units of the cell vectors:
Ga 0.170 0.830 0.750
Ga 0.830 0.170 0.250
Cu 0.335 0.665 0.250
Cu 0.665 0.335 0.750
W 0.163 0.336 0.755
W 0.336 0.163 0.255
W 0.664 0.837 0.745
W 0.837 0.664 0.245
O 0.065 0.702 0.419
O 0.075 0.196 0.079
O 0.185 0.573 0.891
O 0.196 0.075 0.579
O 0.298 0.935 0.081
O 0.306 0.406 0.440
O 0.406 0.306 0.940
O 0.427 0.815 0.609
O 0.573 0.185 0.391
O 0.594 0.694 0.060
O 0.694 0.594 0.560
O 0.702 0.065 0.919
O 0.804 0.925 0.421
O 0.815 0.427 0.109
O 0.925 0.804 0.921
O 0.935 0.298 0.581

Peak list (10 most intense, 10° ≤ 2θ ≤ 90°, most intense first)
- 2θ 30.1, intensity 100
- 2θ 30.6, intensity 95
- 2θ 24.6, intensity 57
- 2θ 35.9, intensity 42
- 2θ 23.5, intensity 40
- 2θ 19.0, intensity 40
- 2θ 35.7, intensity 32
- 2θ 51.5, intensity 30
- 2θ 54.1, intensity 24
- 2θ 53.4, intensity 22